Calculated X-ray powder pattern of SmDy4Y7 for copper Kα, from a structure optimized by DFT (GGA-PBE).
Neutral-atom scattering factors, no anomalous dispersion.

Cell and atoms:
```
data_SmDy4Y7
_cell_length_a 6.5285
_cell_length_b 6.8295
_cell_length_c 9.0826
_cell_angle_alpha 85.88
_cell_angle_beta 76.68
_cell_angle_gamma 81.94
_symmetry_space_group_name_H-M 'P -1'
_symmetry_Int_Tables_number 2
loop_
_symmetry_equiv_pos_as_xyz
'x,y,z'
'-x,-y,-z'
loop_
_atom_site_label
_atom_site_type_symbol
_atom_site_fract_x
_atom_site_fract_y
_atom_site_fract_z
_atom_site_occupancy
Sm1 Sm 0.0000 0.0000 0.0000 1
Dy1 Dy 0.1617 0.6163 0.3101 1
Dy2 Dy 0.3592 0.1885 0.7147 1
Y1 Y 0.0000 0.5000 0.0000 1
Y2 Y 0.1893 0.1074 0.3862 1
Y3 Y 0.3193 0.6942 0.6390 1
Y4 Y 0.4853 0.2505 0.0496 1
```

Most intense lines, 2θ = 5–70°, in order of falling intensity:
- hkl 1 -2 0, 2.833 Å, rel. 100
- hkl 2 0 -1, 2.778 Å, rel. 50
- hkl 2 0 2, 2.887 Å, rel. 38
- hkl 0 0 3, 2.944 Å, rel. 36
- hkl 1 2 2, 2.767 Å, rel. 33
- hkl -3 2 1, 1.614 Å, rel. 24
- hkl 0 1 3, 2.739 Å, rel. 18
- hkl 3 2 1, 1.945 Å, rel. 13
- hkl -1 2 3, 1.976 Å, rel. 12
- hkl 1 -2 3, 2.111 Å, rel. 12

***

Calculated X-ray powder pattern of Sm4Dy10Y for copper Kα, from a structure optimized by DFT (GGA-PBE).
Neutral-atom scattering factors, no anomalous dispersion.

Cell and atoms:
```
data_Sm4Dy10Y
_cell_length_a 12.9315
_cell_length_b 12.9315
_cell_length_c 6.4469
_cell_angle_alpha 90.00
_cell_angle_beta 90.00
_cell_angle_gamma 90.00
_symmetry_space_group_name_H-M 'I 4/m'
_symmetry_Int_Tables_number 87
_symmetry_space_group_name_Hall '-I 4'
loop_
_atom_site_label
_atom_site_type_symbol
_atom_site_fract_x
_atom_site_fract_y
_atom_site_fract_z
_atom_site_occupancy
Sm1 Sm 0.0673 0.1702 0.0000 1
Dy1 Dy 0.0000 0.5000 0.2500 1
Dy2 Dy 0.1291 0.7071 0.2513 1
Y1 Y 0.0000 0.0000 0.5000 1
```

Most intense lines, 2θ = 5–70°, in order of falling intensity:
- hkl 5 1 0, 2.533 Å, rel. 100
- hkl 2 4 0, 2.891 Å, rel. 87
- hkl 3 3 0, 3.043 Å, rel. 76
- hkl 2 4 2, 2.153 Å, rel. 31
- hkl 1 0 1, 5.770 Å, rel. 26
- hkl 2 6 2, 1.727 Å, rel. 24
- hkl 5 1 2, 1.993 Å, rel. 24
- hkl 1 3 0, 4.089 Å, rel. 24
- hkl 5 7 0, 1.503 Å, rel. 21
- hkl 3 2 1, 3.134 Å, rel. 21

***

Calculated X-ray powder pattern of SmDy2Y4 for copper Kα, from a structure optimized by DFT (GGA-PBE).
Neutral-atom scattering factors, no anomalous dispersion.

Cell and atoms:
```
data_SmDy2Y4
_cell_length_a 6.3150
_cell_length_b 8.4964
_cell_length_c 9.2406
_cell_angle_alpha 95.60
_cell_angle_beta 90.04
_cell_angle_gamma 111.75
_symmetry_space_group_name_H-M 'P 1'
_symmetry_Int_Tables_number 1
loop_
_symmetry_equiv_pos_as_xyz
'x,y,z'
loop_
_atom_site_label
_atom_site_type_symbol
_atom_site_fract_x
_atom_site_fract_y
_atom_site_fract_z
_atom_site_occupancy
Sm1 Sm 0.0000 0.0000 0.0000 1
Sm2 Sm 0.4267 0.8573 0.1434 1
Dy1 Dy 0.1397 0.2840 0.7136 1
Dy2 Dy 0.4753 0.2862 0.2167 1
Dy3 Dy 0.7126 0.4285 0.5716 1
Dy4 Dy 0.7621 0.8558 0.6436 1
Y1 Y 0.0469 0.4277 0.0722 1
Y2 Y 0.1867 0.7113 0.7853 1
Y3 Y 0.2861 0.5704 0.4308 1
Y4 Y 0.3335 0.0008 0.5013 1
Y5 Y 0.5710 0.1432 0.8566 1
Y6 Y 0.6151 0.5695 0.9275 1
Y7 Y 0.8545 0.7118 0.2879 1
Y8 Y 0.9030 0.1433 0.3594 1
```

Most intense lines, 2θ = 5–70°, in order of falling intensity:
- hkl 1 -1 3, 2.760 Å, rel. 100
- hkl 1 1 -2, 3.158 Å, rel. 24
- hkl 0 2 2, 2.840 Å, rel. 24
- hkl 3 2 0, 1.534 Å, rel. 22
- hkl -1 1 4, 2.112 Å, rel. 16
- hkl 3 0 -2, 1.824 Å, rel. 13
- hkl 4 -1 1, 1.521 Å, rel. 11
- hkl 1 4 1, 1.624 Å, rel. 10
- hkl 1 1 5, 1.623 Å, rel. 10
- hkl 3 -3 2, 1.822 Å, rel. 6

***

Calculated X-ray powder pattern of Sm5Dy2Y3 for copper Kα, from a structure optimized by DFT (GGA-PBE).
Neutral-atom scattering factors, no anomalous dispersion.

Cell and atoms:
```
data_Sm5Dy2Y3
_cell_length_a 10.7197
_cell_length_b 15.0573
_cell_length_c 9.9052
_cell_angle_alpha 90.00
_cell_angle_beta 122.58
_cell_angle_gamma 90.00
_symmetry_space_group_name_H-M 'C 1 2/c 1'
_symmetry_Int_Tables_number 15
loop_
_symmetry_equiv_pos_as_xyz
'x,y,z'
'-x,-y,-z'
'-x,y,-z+1/2'
'x,-y,z+1/2'
'x+1/2,y+1/2,z'
'-x+1/2,-y+1/2,-z'
'-x+1/2,y+1/2,-z+1/2'
'x+1/2,-y+1/2,z+1/2'
loop_
_atom_site_label
_atom_site_type_symbol
_atom_site_fract_x
_atom_site_fract_y
_atom_site_fract_z
_atom_site_occupancy
Sm1 Sm 0.0000 0.0176 0.2500 1
Sm2 Sm 0.0000 0.2274 0.2500 1
Sm3 Sm 0.0000 0.4756 0.7500 1
Sm4 Sm 0.2369 0.3725 0.2246 1
Dy1 Dy 0.1459 0.1263 0.0546 1
Y1 Y 0.0000 0.2732 0.7500 1
Y2 Y 0.1578 0.3764 0.5521 1
```

Most intense lines, 2θ = 5–70°, in order of falling intensity:
- hkl 2 4 -2, 2.890 Å, rel. 100
- hkl 2 2 1, 3.017 Å, rel. 89
- hkl 4 0 -2, 2.680 Å, rel. 43
- hkl 0 6 3, 1.864 Å, rel. 24
- hkl 2 0 -4, 2.469 Å, rel. 19
- hkl 0 4 2, 2.795 Å, rel. 17
- hkl 2 10 1, 1.369 Å, rel. 17
- hkl 0 0 2, 4.173 Å, rel. 14
- hkl 0 2 3, 2.610 Å, rel. 13
- hkl 2 4 4, 1.469 Å, rel. 11

***

Calculated X-ray powder pattern of Sm8Dy6Y for copper Kα, from a structure optimized by DFT (GGA-PBE).
Neutral-atom scattering factors, no anomalous dispersion.

Cell and atoms:
```
data_Sm8Dy6Y
_cell_length_a 9.1108
_cell_length_b 9.1108
_cell_length_c 20.8066
_cell_angle_alpha 90.00
_cell_angle_beta 90.00
_cell_angle_gamma 120.00
_symmetry_space_group_name_H-M 'R -3'
_symmetry_Int_Tables_number 148
_symmetry_space_group_name_Hall '-R 3'
loop_
_atom_site_label
_atom_site_type_symbol
_atom_site_fract_x
_atom_site_fract_y
_atom_site_fract_z
_atom_site_occupancy
Sm1 Sm 0.0000 0.0000 0.0774 1
Sm2 Sm 0.0811 0.5261 0.3073 1
Dy1 Dy 0.0514 0.8061 0.2063 1
Y1 Y 0.0000 0.0000 0.5000 1
```

Most intense lines, 2θ = 5–70°, in order of falling intensity:
- hkl 1 2 2, 2.865 Å, rel. 100
- hkl 1 0 7, 2.782 Å, rel. 30
- hkl 2 1 1, 2.952 Å, rel. 29
- hkl 0 3 3, 2.459 Å, rel. 14
- hkl 2 -1 6, 2.759 Å, rel. 13
- hkl 0 3 9, 1.736 Å, rel. 13
- hkl 3 -1 4, 2.587 Å, rel. 12
- hkl 4 1 3, 1.671 Å, rel. 10
- hkl 3 2 7, 1.546 Å, rel. 9
- hkl 5 -2 4, 1.710 Å, rel. 8

***

Calculated X-ray powder pattern of Sm3Dy4Y4 for copper Kα, from a structure optimized by DFT (GGA-PBE).
Neutral-atom scattering factors, no anomalous dispersion.

Cell and atoms:
```
data_Sm3Dy4Y4
_cell_length_a 3.4989
_cell_length_b 5.6716
_cell_length_c 18.2609
_cell_angle_alpha 98.92
_cell_angle_beta 95.48
_cell_angle_gamma 90.00
_symmetry_space_group_name_H-M 'P -1'
_symmetry_Int_Tables_number 2
loop_
_symmetry_equiv_pos_as_xyz
'x,y,z'
'-x,-y,-z'
loop_
_atom_site_label
_atom_site_type_symbol
_atom_site_fract_x
_atom_site_fract_y
_atom_site_fract_z
_atom_site_occupancy
Sm1 Sm 0.0000 0.0000 0.0000 1
Sm2 Sm 0.1364 0.6372 0.2735 1
Dy1 Dy 0.3195 0.8187 0.6382 1
Dy2 Dy 0.4550 0.4537 0.9089 1
Y1 Y 0.2666 0.2667 0.5336 1
Y2 Y 0.4092 0.9086 0.8188 1
```

Most intense lines, 2θ = 5–70°, in order of falling intensity:
- hkl 0 2 -1, 2.832 Å, rel. 100
- hkl 1 -1 2, 2.826 Å, rel. 52
- hkl 2 2 -2, 1.488 Å, rel. 28
- hkl 1 0 -4, 2.891 Å, rel. 24
- hkl 0 3 4, 1.636 Å, rel. 23
- hkl -1 2 3, 2.024 Å, rel. 18
- hkl -1 1 1, 2.938 Å, rel. 12
- hkl 1 -2 8, 1.621 Å, rel. 10
- hkl -1 1 9, 1.657 Å, rel. 10
- hkl 2 0 -1, 1.749 Å, rel. 8

***

Calculated X-ray powder pattern of SmDy7Y4 for copper Kα, from a structure optimized by DFT (GGA-PBE).
Neutral-atom scattering factors, no anomalous dispersion.

Cell and atoms:
```
data_SmDy7Y4
_cell_length_a 12.0302
_cell_length_b 5.8852
_cell_length_c 12.7038
_cell_angle_alpha 90.00
_cell_angle_beta 118.24
_cell_angle_gamma 90.00
_symmetry_space_group_name_H-M 'C 1 2/m 1'
_symmetry_Int_Tables_number 12
loop_
_symmetry_equiv_pos_as_xyz
'x,y,z'
'-x,-y,-z'
'-x,y,-z'
'x,-y,z'
'x+1/2,y+1/2,z'
'-x+1/2,-y+1/2,-z'
'-x+1/2,y+1/2,-z'
'x+1/2,-y+1/2,z'
loop_
_atom_site_label
_atom_site_type_symbol
_atom_site_fract_x
_atom_site_fract_y
_atom_site_fract_z
_atom_site_occupancy
Sm1 Sm 0.0000 0.0000 0.0000 1
Dy1 Dy 0.0000 0.5000 0.0000 1
Dy2 Dy 0.1315 0.0000 0.4988 1
Dy3 Dy 0.2126 0.5000 0.9231 1
Dy4 Dy 0.2373 0.5000 0.6754 1
Y1 Y 0.0640 0.5000 0.3181 1
Y2 Y 0.1416 0.0000 0.7755 1
```

Most intense lines, 2θ = 5–70°, in order of falling intensity:
- hkl 3 1 -4, 2.663 Å, rel. 100
- hkl 1 1 -4, 2.736 Å, rel. 79
- hkl 0 2 0, 2.943 Å, rel. 76
- hkl 4 0 -3, 2.904 Å, rel. 68
- hkl 4 2 -3, 2.067 Å, rel. 52
- hkl 1 1 1, 4.314 Å, rel. 31
- hkl 3 3 -4, 1.640 Å, rel. 25
- hkl 1 3 -4, 1.656 Å, rel. 18
- hkl 7 1 0, 1.466 Å, rel. 17
- hkl 2 0 2, 3.170 Å, rel. 16

***

Calculated X-ray powder pattern of Sm2DyY5 for copper Kα, from a structure optimized by DFT (GGA-PBE).
Neutral-atom scattering factors, no anomalous dispersion.

Cell and atoms:
```
data_Sm2DyY5
_cell_length_a 7.1667
_cell_length_b 14.3342
_cell_length_c 5.0563
_cell_angle_alpha 90.00
_cell_angle_beta 90.00
_cell_angle_gamma 90.00
_symmetry_space_group_name_H-M 'P b a m'
_symmetry_Int_Tables_number 55
loop_
_symmetry_equiv_pos_as_xyz
'x,y,z'
'-x,-y,-z'
'-x,-y,z'
'x,y,-z'
'x+1/2,-y+1/2,-z'
'-x+1/2,y+1/2,z'
'-x+1/2,y+1/2,-z'
'x+1/2,-y+1/2,z'
loop_
_atom_site_label
_atom_site_type_symbol
_atom_site_fract_x
_atom_site_fract_y
_atom_site_fract_z
_atom_site_occupancy
Sm1 Sm 0.2493 0.1245 0.0000 1
Dy1 Dy 0.0000 0.0000 0.5000 1
Y1 Y 0.0000 0.2495 0.5000 1
Y2 Y 0.0000 0.5000 0.5000 1
Y3 Y 0.2495 0.8753 0.0000 1
```

Most intense lines, 2θ = 5–70°, in order of falling intensity:
- hkl 2 0 1, 2.924 Å, rel. 100
- hkl 2 4 0, 2.532 Å, rel. 50
- hkl 4 0 0, 1.790 Å, rel. 35
- hkl 4 4 1, 1.528 Å, rel. 28
- hkl 2 0 3, 1.525 Å, rel. 14
- hkl 4 0 2, 1.462 Å, rel. 12
- hkl 1 2 0, 5.067 Å, rel. 3
- hkl 1 2 1, 3.580 Å, rel. 3
- hkl 1 1 0, 6.410 Å, rel. 2
- hkl 3 2 0, 2.264 Å, rel. 2